(1)
Ce2Fe12Co5: theoretical powder diffractogram (CuKα), based on a cell relaxed with PBE.
Neutral-atom scattering factors, no anomalous dispersion.

Cell and atoms:
a b c (Å): 8.4229 8.4229 12.5432
angles (deg): 90.00 90.00 120.00
Space group R-3m (No. 166, hexagonal axes)
One atom of each set of equivalent atoms:
1 Ce 0.0000 0.0000 0.1549 (multiplicity 6)
2 Fe 0.0000 0.2899 0.5000 (multiplicity 18)
3 Fe 0.0047 0.5023 0.3429 (multiplicity 18)
4 Co 0.0000 0.0000 0.4073 (multiplicity 6)
5 Co 0.0000 0.5000 0.0000 (multiplicity 9)

The 12 most intense peaks (2θ from 10° to 90°), by angle:
| 2theta | intensity | hkl |
| --- | --- | --- |
| 30.12 | 23 | 1 1 3 |
| 36.97 | 24 | 3 0 0 |
| 37.84 | 17 | 0 2 4 |
| 43.00 | 100 | 2 2 0 |
| 43.28 | 20 | 0 0 6 |
| 43.75 | 19 | 2 0 5 |
| 48.40 | 15 | 2 2 3 |
| 62.43 | 10 | 1 4 3 |
| 62.62 | 10 | 2 2 6 |
| 70.80 | 9 | 3 3 3 |
| 78.71 | 10 | 6 0 0 |
| 79.24 | 14 | 3 0 9 |


(2)
Sr2CaI6: theoretical powder diffractogram (CuKα), based on a cell relaxed with PBE.
Neutral-atom scattering factors, no anomalous dispersion.

Cell and atoms:
a b c (Å): 8.060 8.060 23.953
angles (deg): 90.00 90.00 90.00
Space group P-4b2 (No. 117)
One atom of each set of equivalent atoms:
1 Sr 0.000 0.000 0.167 (multiplicity 4)
2 Sr 0.000 0.500 0.335 (multiplicity 4)
3 Ca 0.000 0.000 0.500 (multiplicity 2)
4 Ca 0.000 0.500 0.000 (multiplicity 2)
5 I 0.197 0.287 0.086 (multiplicity 8)
6 I 0.199 0.211 0.584 (multiplicity 8)
7 I 0.226 0.739 0.750 (multiplicity 8)

The 12 most intense peaks (2θ from 10° to 90°), by angle:
| 2theta | intensity | hkl |
| --- | --- | --- |
| 19.13 | 21 | 1 1 3 |
| 22.06 | 32 | 2 0 0 |
| 22.27 | 22 | 0 0 6 |
| 25.81 | 14 | 2 1 2 |
| 28.91 | 11 | 2 1 4 |
| 31.39 | 43 | 2 2 0 |
| 31.55 | 100 | 2 0 6 |
| 38.83 | 10 | 2 2 6 |
| 44.99 | 10 | 4 0 0 |
| 45.44 | 14 | 0 0 12 |
| 55.98 | 19 | 4 2 6 |
| 56.27 | 17 | 2 2 12 |


(3)
Mg6Si5: theoretical powder diffractogram (CuKα), based on a cell relaxed with PBE.
Neutral-atom scattering factors, no anomalous dispersion.

Cell and atoms:
a b c (Å): 4.158 6.666 15.089
angles (deg): 86.34 89.13 89.43
Space group P1 (No. 1)
One atom of each set of equivalent atoms:
1 Mg 0.000 0.000 0.000 (multiplicity 1)
2 Mg 0.001 0.503 0.012 (multiplicity 1)
3 Mg 0.461 0.635 0.543 (multiplicity 1)
4 Mg 0.467 0.778 0.874 (multiplicity 1)
5 Mg 0.487 0.272 0.912 (multiplicity 1)
6 Mg 0.502 0.759 0.091 (multiplicity 1)
7 Mg 0.515 0.222 0.120 (multiplicity 1)
8 Mg 0.952 0.805 0.683 (multiplicity 1)
9 Mg 0.958 0.963 0.463 (multiplicity 1)
10 Mg 0.973 0.317 0.612 (multiplicity 1)
11 Mg 0.980 0.505 0.402 (multiplicity 1)
12 Mg 0.982 0.907 0.233 (multiplicity 1)
13 Si 0.009 0.353 0.234 (multiplicity 1)
14 Si 0.446 0.005 0.588 (multiplicity 1)
15 Si 0.462 0.506 0.723 (multiplicity 1)
16 Si 0.463 0.790 0.370 (multiplicity 1)
17 Si 0.476 0.137 0.729 (multiplicity 1)
18 Si 0.487 0.271 0.477 (multiplicity 1)
19 Si 0.492 0.166 0.325 (multiplicity 1)
20 Si 0.508 0.564 0.253 (multiplicity 1)
21 Si 0.971 0.495 0.822 (multiplicity 1)
22 Si 0.979 0.086 0.818 (multiplicity 1)

The 12 most intense peaks (2θ from 10° to 90°), by angle:
| 2theta | intensity | hkl |
| --- | --- | --- |
| 11.76 | 16 | 0 0 2 |
| 34.37 | 24 | 1 2 0 |
| 34.55 | 29 | 1 2 1 |
| 34.69 | 26 | 1 -2 0 |
| 35.32 | 24 | 1 -1 4 |
| 35.61 | 21 | 1 1 -4 |
| 35.76 | 18 | 1 2 2 |
| 36.27 | 27 | -1 2 2 |
| 36.59 | 46 | 1 0 5 |
| 37.16 | 100 | 1 0 -5 |
| 39.03 | 41 | 0 2 5 |
| 43.54 | 78 | 2 0 0 |


(4)
Al2C3N6: theoretical powder diffractogram (CuKα), based on a cell relaxed with PBE.
Neutral-atom scattering factors, no anomalous dispersion.

Cell and atoms:
a b c (Å): 5.4897 5.4897 27.6703
angles (deg): 90.00 90.00 120.00
Space group R-3c (No. 167, hexagonal axes)
One atom of each set of equivalent atoms:
1 Al 0.0000 0.0000 0.1650 (multiplicity 12)
2 C 0.0000 0.3126 0.2500 (multiplicity 18)
3 N 0.0012 0.3905 0.5401 (multiplicity 36)

The 12 most intense peaks (2θ from 10° to 90°), by angle:
| 2theta | intensity | hkl |
| --- | --- | --- |
| 19.25 | 8 | 0 0 6 |
| 19.75 | 82 | 0 1 2 |
| 22.69 | 38 | 1 0 4 |
| 34.08 | 100 | 1 1 3 |
| 38.15 | 66 | 1 1 6 |
| 46.35 | 7 | 2 0 8 |
| 50.62 | 9 | 0 2 10 |
| 51.78 | 31 | 1 1 12 |
| 58.22 | 30 | 3 0 0 |
| 70.17 | 12 | 1 1 18 |
| 71.76 | 9 | 2 2 6 |
| 71.93 | 6 | 3 1 2 |


What did the second record say?
Sr2CaI6: theoretical powder diffractogram (CuKα), based on a cell relaxed with PBE.
Neutral-atom scattering factors, no anomalous dispersion.

Cell and atoms:
a b c (Å): 8.060 8.060 23.953
angles (deg): 90.00 90.00 90.00
Space group P-4b2 (No. 117)
One atom of each set of equivalent atoms:
1 Sr 0.000 0.000 0.167 (multiplicity 4)
2 Sr 0.000 0.500 0.335 (multiplicity 4)
3 Ca 0.000 0.000 0.500 (multiplicity 2)
4 Ca 0.000 0.500 0.000 (multiplicity 2)
5 I 0.197 0.287 0.086 (multiplicity 8)
6 I 0.199 0.211 0.584 (multiplicity 8)
7 I 0.226 0.739 0.750 (multiplicity 8)

The 12 most intense peaks (2θ from 10° to 90°), by angle:
| 2theta | intensity | hkl |
| --- | --- | --- |
| 19.13 | 21 | 1 1 3 |
| 22.06 | 32 | 2 0 0 |
| 22.27 | 22 | 0 0 6 |
| 25.81 | 14 | 2 1 2 |
| 28.91 | 11 | 2 1 4 |
| 31.39 | 43 | 2 2 0 |
| 31.55 | 100 | 2 0 6 |
| 38.83 | 10 | 2 2 6 |
| 44.99 | 10 | 4 0 0 |
| 45.44 | 14 | 0 0 12 |
| 55.98 | 19 | 4 2 6 |
| 56.27 | 17 | 2 2 12 |